[1]
Diffraction record for LiMg6Zn. The powder X-ray diffraction pattern is calculated, not measured: it uses the GGA-PBE geometry in the Materials Project and Cu Kα, 1.54184 Å.
Lines closer than 0.1° are merged.

Top 10 peaks for 2θ = 15–90°, sorted by position:
2theta, d (Å), I/Imax
16.34, 5.424, 44
24.11, 3.692, 35
33.03, 2.712, 24
35.63, 2.520, 39
37.67, 2.388, 100
37.94, 2.371, 48
49.37, 1.846, 15
59.39, 1.556, 16
65.34, 1.428, 18
71.21, 1.324, 18

```
LiMg6Zn
1.0
5.040 0.000 0.000
0.000 3.141 5.375
0.000 -3.141 5.375
Li Mg Zn
1 6 1
Direct
0.000 0.000 0.000
0.000 0.502 0.999
0.000 0.999 0.502
0.500 0.332 0.829
0.500 0.337 0.337
0.500 0.829 0.332
0.500 0.836 0.836
0.000 0.501 0.501
```

=====

[2]
Diffraction record for LiMn. The powder X-ray diffraction pattern is calculated, not measured: it uses the GGA-PBE geometry in the Materials Project and Cu Kα, 1.54184 Å.
Lines closer than 0.1° are merged.

Top 10 peaks for 2θ = 15–90°, sorted by position:
2theta, d (Å), I/Imax
19.06, 4.656, 100
38.68, 2.328, 22
40.89, 2.207, 44
45.46, 1.995, 63
45.57, 1.991, 12
57.47, 1.603, 15
57.61, 1.600, 14
74.45, 1.274, 8
74.69, 1.271, 7
74.87, 1.268, 7

```
LiMn
1.0
2.206 -1.275 0.000
2.206 1.275 0.000
-0.015 0.000 4.656
Li Mn
1 1
Direct
0.000 0.000 0.000
0.667 0.667 0.500
```

=====

[3]
Diffraction record for Li9Mn3N4. The powder X-ray diffraction pattern is calculated, not measured: it uses the GGA-PBE geometry in the Materials Project and Cu Kα, 1.54184 Å.
Lines closer than 0.1° are merged.

Top 10 peaks for 2θ = 15–90°, sorted by position:
2theta, d (Å), I/Imax
17.94, 4.944, 12
27.62, 3.230, 100
36.33, 2.473, 44
47.28, 1.923, 11
48.84, 1.865, 30
55.63, 1.652, 22
57.03, 1.615, 10
62.37, 1.489, 9
70.33, 1.339, 17
77.13, 1.237, 7

```
Li9Mn3N4
1.0
5.020 -1.866 0.000
5.020 1.866 0.000
-1.741 0.000 9.888
Li Mn N
9 3 4
Direct
0.000 0.000 0.000
0.039 0.039 0.291
0.207 0.207 0.458
0.288 0.288 0.043
0.453 0.453 0.210
0.547 0.547 0.790
0.712 0.712 0.957
0.793 0.793 0.542
0.961 0.961 0.709
0.245 0.245 0.747
0.500 0.500 0.500
0.755 0.755 0.253
0.127 0.127 0.875
0.376 0.376 0.626
0.624 0.624 0.374
0.873 0.873 0.125
```

=====

[4]
Diffraction record for Li2MnN2. The powder X-ray diffraction pattern is calculated, not measured: it uses the GGA-PBE geometry in the Materials Project and Cu Kα, 1.54184 Å.
Lines closer than 0.1° are merged.

Top 10 peaks for 2θ = 15–90°, sorted by position:
2theta, d (Å), I/Imax
18.13, 4.894, 6
18.69, 4.748, 100
32.75, 2.734, 16
35.50, 2.529, 9
39.49, 2.282, 8
43.47, 2.082, 14
45.19, 2.007, 16
48.68, 1.870, 12
49.92, 1.827, 7
54.64, 1.680, 7

```
Li2MnN2
1.0
2.612 -5.908 0.000
2.612 5.908 0.000
-0.604 0.000 4.894
Li Mn N
6 3 6
Direct
0.025 0.656 0.187
0.093 0.093 0.280
0.344 0.975 0.813
0.656 0.025 0.187
0.907 0.907 0.720
0.975 0.344 0.813
0.406 0.594 0.500
0.500 0.500 0.000
0.594 0.406 0.500
0.165 0.450 0.206
0.267 0.267 0.663
0.450 0.165 0.206
0.550 0.835 0.794
0.733 0.733 0.337
0.835 0.550 0.794
```

=====

[5]
Diffraction record for Li6Mn2N3. The powder X-ray diffraction pattern is calculated, not measured: it uses the GGA-PBE geometry in the Materials Project and Cu Kα, 1.54184 Å.
Lines closer than 0.1° are merged.

Top 10 peaks for 2θ = 15–90°, sorted by position:
2theta, d (Å), I/Imax
15.84, 5.595, 55
15.94, 5.559, 28
27.68, 3.223, 100
27.86, 3.202, 52
28.71, 3.110, 38
32.21, 2.779, 19
36.79, 2.443, 32
36.93, 2.434, 19
49.17, 1.853, 24
56.86, 1.619, 20

```
Li6Mn2N3
1.0
3.745 0.000 0.000
0.000 5.595 3.202
0.000 -5.595 3.202
Li Mn N
6 2 3
Direct
0.000 0.000 0.000
0.000 0.302 0.547
0.000 0.547 0.302
0.000 0.621 0.947
0.000 0.947 0.621
0.500 0.657 0.657
0.500 0.291 0.922
0.500 0.922 0.291
0.000 0.288 0.926
0.000 0.659 0.659
0.000 0.926 0.288
```

=====

[6]
Diffraction record for Li7Mn2N3. The powder X-ray diffraction pattern is calculated, not measured: it uses the GGA-PBE geometry in the Materials Project and Cu Kα, 1.54184 Å.
Lines closer than 0.1° are merged.

Top 10 peaks for 2θ = 15–90°, sorted by position:
2theta, d (Å), I/Imax
15.77, 5.618, 46
27.50, 3.243, 100
28.18, 3.167, 24
36.28, 2.476, 38
47.43, 1.917, 11
48.62, 1.873, 31
49.04, 1.857, 9
55.70, 1.650, 21
56.77, 1.622, 10
70.27, 1.340, 18

```
Li7Mn2N3
1.0
6.487 0.000 0.000
-3.243 5.618 0.000
0.000 0.000 3.834
Li Mn N
7 2 3
Direct
0.000 0.000 0.000
0.000 0.327 0.500
0.000 0.673 0.500
0.327 0.000 0.500
0.327 0.327 0.500
0.673 0.000 0.500
0.673 0.673 0.500
0.333 0.667 0.000
0.667 0.333 0.000
0.000 0.000 0.500
0.333 0.667 0.500
0.667 0.333 0.500
```

=====

[7]
Diffraction record for Li3MnN2. The powder X-ray diffraction pattern is calculated, not measured: it uses the GGA-PBE geometry in the Materials Project and Cu Kα, 1.54184 Å.
Lines closer than 0.1° are merged.

Top 10 peaks for 2θ = 15–90°, sorted by position:
2theta, d (Å), I/Imax
22.94, 3.876, 100
32.67, 2.741, 12
35.37, 2.538, 49
37.90, 2.374, 16
44.77, 2.024, 15
52.81, 1.734, 9
54.68, 1.679, 38
60.07, 1.540, 17
66.83, 1.400, 10
73.26, 1.292, 11

```
Li3MnN2
1.0
-4.748 4.748 4.748
4.748 -4.748 4.748
4.748 4.748 -4.748
Li Mn N
24 8 16
Direct
0.020 0.979 0.240
0.021 0.760 0.980
0.041 0.520 0.280
0.220 0.740 0.762
0.238 0.780 0.260
0.240 0.020 0.979
0.260 0.238 0.780
0.262 0.521 0.541
0.280 0.041 0.520
0.459 0.738 0.479
0.479 0.459 0.738
0.480 0.720 0.959
0.520 0.280 0.041
0.521 0.541 0.262
0.541 0.262 0.521
0.720 0.959 0.480
0.738 0.479 0.459
0.740 0.762 0.220
0.760 0.980 0.021
0.762 0.220 0.740
0.780 0.260 0.238
0.959 0.480 0.720
0.979 0.240 0.020
0.980 0.021 0.760
0.000 0.227 0.500
0.000 0.773 0.500
0.227 0.500 0.000
0.273 0.273 0.273
0.500 0.000 0.227
0.500 0.000 0.773
0.727 0.727 0.727
0.773 0.500 0.000
0.000 0.000 0.500
0.000 0.500 0.000
0.034 0.250 0.284
0.216 0.466 0.750
0.250 0.284 0.034
0.250 0.784 0.534
0.284 0.034 0.250
0.466 0.750 0.216
0.500 0.000 0.000
0.500 0.500 0.500
0.534 0.250 0.784
0.716 0.966 0.750
0.750 0.216 0.466
0.750 0.716 0.966
0.784 0.534 0.250
0.966 0.750 0.716
```

=====

[8]
Diffraction record for Li3MnN2. The powder X-ray diffraction pattern is calculated, not measured: it uses the GGA-PBE geometry in the Materials Project and Cu Kα, 1.54184 Å.
Lines closer than 0.1° are merged.

Top 10 peaks for 2θ = 15–90°, sorted by position:
2theta, d (Å), I/Imax
15.15, 5.850, 100
25.34, 3.515, 54
28.38, 3.145, 23
29.65, 3.013, 63
33.99, 2.637, 13
36.14, 2.485, 16
42.87, 2.110, 40
52.04, 1.757, 20
52.21, 1.752, 22
69.63, 1.350, 16

```
Li3MnN2
1.0
-3.515 3.515 5.275
3.515 -3.515 5.275
3.515 3.515 -5.275
Li Mn N
12 4 8
Direct
0.010 0.260 0.750
0.136 0.386 0.272
0.136 0.864 0.750
0.260 0.010 0.250
0.386 0.136 0.772
0.386 0.614 0.250
0.614 0.386 0.750
0.614 0.864 0.228
0.740 0.990 0.750
0.864 0.136 0.250
0.864 0.614 0.728
0.990 0.740 0.250
0.266 0.516 0.750
0.484 0.734 0.750
0.516 0.266 0.250
0.734 0.484 0.250
0.200 0.233 0.533
0.200 0.667 0.967
0.233 0.200 0.033
0.333 0.800 0.533
0.667 0.200 0.467
0.767 0.800 0.967
0.800 0.333 0.033
0.800 0.767 0.467
```

=====

[9]
Diffraction record for Li2MnN2. The powder X-ray diffraction pattern is calculated, not measured: it uses the GGA-PBE geometry in the Materials Project and Cu Kα, 1.54184 Å.
Lines closer than 0.1° are merged.

Top 10 peaks for 2θ = 15–90°, sorted by position:
2theta, d (Å), I/Imax
16.34, 5.423, 100
34.21, 2.621, 18
38.14, 2.360, 62
48.29, 1.884, 46
61.26, 1.513, 17
62.40, 1.488, 15
63.87, 1.457, 12
74.49, 1.274, 7
79.61, 1.204, 7
81.60, 1.180, 8

```
Li2MnN2
1.0
3.026 0.000 0.000
-1.513 2.621 0.000
0.000 0.000 5.423
Li Mn N
2 1 2
Direct
0.333 0.667 0.146
0.667 0.333 0.854
0.000 0.000 0.500
0.333 0.667 0.699
0.667 0.333 0.301
```

=====

[10]
Diffraction record for LiMn2N3. The powder X-ray diffraction pattern is calculated, not measured: it uses the GGA-PBE geometry in the Materials Project and Cu Kα, 1.54184 Å.
Lines closer than 0.1° are merged.

Top 10 peaks for 2θ = 15–90°, sorted by position:
2theta, d (Å), I/Imax
18.75, 4.732, 100
26.01, 3.426, 79
32.65, 2.743, 23
32.78, 2.732, 55
36.28, 2.476, 54
37.48, 2.399, 43
37.60, 2.392, 70
49.67, 1.836, 29
58.35, 1.581, 29
66.11, 1.413, 37

```
LiMn2N3
1.0
4.726 -2.743 0.000
4.726 2.743 0.000
0.000 0.000 4.952
Li Mn N
2 4 6
Direct
0.166 0.834 0.500
0.834 0.166 0.000
0.169 0.493 0.028
0.493 0.169 0.528
0.507 0.831 0.028
0.831 0.507 0.528
0.163 0.457 0.395
0.219 0.781 0.959
0.457 0.163 0.895
0.543 0.837 0.395
0.781 0.219 0.459
0.837 0.543 0.895
```

=====

[11]
Diffraction record for LiMn6N7. The powder X-ray diffraction pattern is calculated, not measured: it uses the GGA-PBE geometry in the Materials Project and Cu Kα, 1.54184 Å.
Lines closer than 0.1° are merged.

Top 10 peaks for 2θ = 15–90°, sorted by position:
2theta, d (Å), I/Imax
15.67, 5.655, 55
21.05, 4.220, 60
26.06, 3.419, 77
27.68, 3.223, 57
29.61, 3.017, 47
31.65, 2.827, 46
34.67, 2.588, 56
37.78, 2.381, 76
38.41, 2.344, 100
56.74, 1.622, 45

```
LiMn6N7
1.0
7.954 0.000 0.000
0.000 5.655 0.000
-6.150 0.000 12.877
Li Mn N
4 24 28
Direct
0.161 0.065 0.249
0.161 0.935 0.749
0.839 0.065 0.251
0.839 0.935 0.751
0.000 0.472 0.250
0.000 0.528 0.750
0.031 0.226 0.465
0.031 0.774 0.965
0.263 0.247 0.645
0.263 0.753 0.145
0.311 0.293 0.062
0.311 0.707 0.562
0.363 0.406 0.827
0.363 0.594 0.327
0.388 0.262 0.450
0.388 0.738 0.950
0.500 0.077 0.250
0.500 0.923 0.750
0.612 0.262 0.050
0.612 0.738 0.550
0.637 0.406 0.673
0.637 0.594 0.173
0.689 0.293 0.438
0.689 0.707 0.938
0.737 0.247 0.855
0.737 0.753 0.355
0.969 0.226 0.035
0.969 0.774 0.535
0.101 0.261 0.361
0.101 0.739 0.861
0.143 0.328 0.722
0.143 0.672 0.222
0.148 0.492 0.557
0.148 0.508 0.057
0.184 0.026 0.074
0.184 0.974 0.574
0.359 0.378 0.952
0.359 0.622 0.452
0.435 0.278 0.330
0.435 0.722 0.830
0.500 0.000 0.000
0.500 0.000 0.500
0.500 0.264 0.750
0.500 0.736 0.250
0.565 0.278 0.170
0.565 0.722 0.670
0.641 0.378 0.548
0.641 0.622 0.048
0.816 0.026 0.426
0.816 0.974 0.926
0.852 0.492 0.943
0.852 0.508 0.443
0.857 0.328 0.778
0.857 0.672 0.278
0.899 0.261 0.139
0.899 0.739 0.639
```